1.
The following is a calculated PXRD pattern of Fe3P. It was derived from a DFT-relaxed cell (PBE, Alexandria), using a wavelength of 1.5418 Å.

Main lines, in order of rising 2θ (2θ = 10–90°):
index, two_theta, I/Imax
1 1 0, 28.14, 11
2 0 0, 40.21, 20
2 1 0, 45.20, 100
2 1 1, 49.80, 42
3 2 0, 76.59, 18
3 2 1, 80.05, 19

Atomic structure:
```
Fe3P
1.0
4.4853 0.0000 0.0000
0.0000 4.4853 0.0000
0.0000 0.0000 4.4853
Fe P
6 2
Direct
0.0000 0.2500 0.5000 Fe
0.0000 0.7500 0.5000 Fe
0.2500 0.5000 0.0000 Fe
0.5000 0.0000 0.2500 Fe
0.5000 0.0000 0.7500 Fe
0.7500 0.5000 0.0000 Fe
0.0000 0.0000 0.0000 P
0.5000 0.5000 0.5000 P
```

---

2.
The following is a calculated PXRD pattern of Fe5P. It was derived from a DFT-relaxed cell (PBE, Alexandria), using a wavelength of 1.5418 Å.

Main lines, in order of rising 2θ (2θ = 10–90°):
index, two_theta, I/Imax
3 1 0, 44.97, 100
1 1 -2, 45.68, 95
2 0 2, 46.06, 47
4 0 -2, 46.60, 43
0 2 0, 64.45, 16
2 2 2, 82.81, 15

Atomic structure:
```
Fe5P
1.0
8.8388 0.0000 0.0000
0.0000 2.8914 0.0000
-1.6328 0.0000 5.2160
Fe P
10 2
Direct
0.0000 0.0000 0.0000 Fe
0.1583 0.5000 0.3397 Fe
0.1696 0.5000 0.8270 Fe
0.3304 0.0000 0.1730 Fe
0.3417 0.0000 0.6603 Fe
0.5000 0.5000 0.0000 Fe
0.6583 0.0000 0.3397 Fe
0.6696 0.0000 0.8270 Fe
0.8304 0.5000 0.1730 Fe
0.8417 0.5000 0.6603 Fe
0.0000 0.0000 0.5000 P
0.5000 0.5000 0.5000 P
```

---

3.
The following is a calculated PXRD pattern of Fe5P. It was derived from a DFT-relaxed cell (PBE, Alexandria), using a wavelength of 1.5418 Å.

Main lines, in order of rising 2θ (2θ = 10–90°):
index, two_theta, I/Imax
1 1 0, 45.26, 54
1 0 3, 45.79, 100
2 0 0, 65.94, 16
0 0 6, 67.56, 6
2 1 3, 83.97, 30
1 1 6, 85.10, 13

Atomic structure:
```
Fe5P
1.0
2.8332 0.0000 0.0000
0.0000 2.8332 0.0000
0.0000 0.0000 8.3188
Fe P
5 1
Direct
0.0000 0.0000 0.0000 Fe
0.0000 0.0000 0.3483 Fe
0.0000 0.0000 0.6517 Fe
0.5000 0.5000 0.1715 Fe
0.5000 0.5000 0.8285 Fe
0.5000 0.5000 0.5000 P
```

---

Please write out number 3 again, unchanged.
The following is a calculated PXRD pattern of Fe5P. It was derived from a DFT-relaxed cell (PBE, Alexandria), using a wavelength of 1.5418 Å.

Main lines, in order of rising 2θ (2θ = 10–90°):
index, two_theta, I/Imax
1 1 0, 45.26, 54
1 0 3, 45.79, 100
2 0 0, 65.94, 16
0 0 6, 67.56, 6
2 1 3, 83.97, 30
1 1 6, 85.10, 13

Atomic structure:
```
Fe5P
1.0
2.8332 0.0000 0.0000
0.0000 2.8332 0.0000
0.0000 0.0000 8.3188
Fe P
5 1
Direct
0.0000 0.0000 0.0000 Fe
0.0000 0.0000 0.3483 Fe
0.0000 0.0000 0.6517 Fe
0.5000 0.5000 0.1715 Fe
0.5000 0.5000 0.8285 Fe
0.5000 0.5000 0.5000 P
```